Record 1
For K2Sc2Se2S, DFT lattice parameters and positions (PBE) gives the simulated X-ray powder pattern in this record (Cu Kα (λ = 1.5418 Å)).
Intensities are scaled so that the largest is 100.

Atomic structure:
```
K2Sc2Se2S
1.0
-2.4281 2.4281 8.2680
2.4281 -2.4281 8.2680
2.4281 2.4281 -8.2680
K Sc Se S
2 2 2 1
direct
0.1859 0.1859 0.0000
0.8141 0.8141 0.0000
0.0000 0.5000 0.5000
0.5000 0.0000 0.5000
0.3910 0.3910 0.0000
0.6090 0.6090 0.0000
0.0000 0.0000 0.0000
```

Largest 8 diffraction maxima, by angle, 2θ = 10–90°:
2θ (°), I (rel.)
10.70, 58
19.05, 17
25.95, 47
32.76, 100
33.94, 57
37.02, 69
50.26, 55
53.35, 32

Record 2
For KThSc4S8, DFT lattice parameters and positions (PBE) gives the simulated X-ray powder pattern in this record (Cu Kα (λ = 1.5418 Å)).
Intensities are scaled so that the largest is 100.

Atomic structure:
```
KThSc4S8
1.0
3.8946 2.2486 6.7025
-3.8946 2.2486 6.7025
0.0000 -4.4972 6.7025
K Th Sc S
1 1 4 8
direct
0.0000 0.0000 0.0000
0.3613 0.3613 0.3613
0.3615 0.3615 0.8763
0.3615 0.8763 0.3615
0.7359 0.7359 0.7359
0.8763 0.3615 0.3615
0.1208 0.1208 0.5669
0.1208 0.5669 0.1208
0.1295 0.6155 0.6155
0.1371 0.1371 0.1371
0.5669 0.1208 0.1208
0.6066 0.6066 0.6066
0.6155 0.1295 0.6155
0.6155 0.6155 0.1295
```

Largest 8 diffraction maxima, by angle, 2θ = 10–90°:
2θ (°), I (rel.)
13.85, 100
15.82, 40
22.83, 43
25.79, 42
26.47, 90
31.95, 71
44.98, 40
46.64, 41

Record 3
For K2ScTiS4, DFT lattice parameters and positions (PBE) gives the simulated X-ray powder pattern in this record (Cu Kα (λ = 1.5418 Å)).
Intensities are scaled so that the largest is 100.

Atomic structure:
```
K2ScTiS4
1.0
-3.5254 3.5254 4.7136
3.5254 -3.5254 4.7136
3.5254 3.5254 -4.7136
K Sc Ti S
2 1 1 4
direct
0.0000 0.0000 0.0000
0.7500 0.2500 0.5000
0.5000 0.5000 0.0000
0.2500 0.7500 0.5000
0.2122 0.1147 0.5831
0.3710 0.7878 0.9025
0.5316 0.6290 0.4169
0.8853 0.4684 0.0975
```

Largest 8 diffraction maxima, by angle, 2θ = 10–90°:
2θ (°), I (rel.)
15.69, 17
25.26, 8
26.01, 100
29.88, 14
36.03, 24
40.51, 10
44.98, 30
46.34, 30

Record 4
For K3ZrSc3S8, DFT lattice parameters and positions (PBE) gives the simulated X-ray powder pattern in this record (Cu Kα (λ = 1.5418 Å)).
Intensities are scaled so that the largest is 100.

Atomic structure:
```
K3ZrSc3S8
1.0
3.7829 2.1841 7.4563
-3.7829 2.1841 7.4563
0.0000 -4.3681 7.4563
K Zr Sc S
3 1 3 8
direct
0.0000 0.5000 0.5000
0.5000 0.0000 0.5000
0.5000 0.5000 0.0000
0.5000 0.5000 0.5000
0.0000 0.0000 0.5000
0.0000 0.5000 0.0000
0.5000 0.0000 0.0000
0.2301 0.2301 0.2301
0.2316 0.7296 0.7296
0.2704 0.2704 0.7684
0.2704 0.7684 0.2704
0.7296 0.2316 0.7296
0.7296 0.7296 0.2316
0.7684 0.2704 0.2704
0.7699 0.7699 0.7699
```

Largest 8 diffraction maxima, by angle, 2θ = 10–90°:
2θ (°), I (rel.)
11.87, 46
14.08, 17
31.65, 100
39.39, 15
42.50, 29
48.11, 31
58.74, 15
79.24, 12